Record 1
This entry pairs a crystal structure of Tb2PmAl6 with its calculated XRD peak list. Radiation: Cu Kα X-rays. Structure: a structure optimized by DFT (GGA-PBE).

Atomic structure:
```
Tb2PmAl6
1.0
7.950 0.000 0.000
-3.975 6.885 0.000
0.000 0.000 3.542
Tb Pm Al
2 1 6
Cartesian
0.000 4.590 0.000
3.975 2.295 0.000
0.000 0.000 0.000
-1.330 2.304 1.771
-2.645 4.580 1.771
2.661 0.000 1.771
1.330 2.304 1.771
5.289 0.000 1.771
2.645 4.580 1.771
```

The 6 most intense peaks (2θ = 10–90°), most intense first:
33.90°, rel. 100.0
22.37°, rel. 69.2
39.26°, rel. 44.1
52.82°, rel. 28.3
67.75°, rel. 26.7
66.72°, rel. 18.4

Record 2
This entry pairs a crystal structure of Tb5Pm3Pr2 with its calculated XRD peak list. Radiation: Cu Kα X-rays. Structure: a structure optimized by DFT (GGA-PBE).

Atomic structure:
```
Tb5Pm3Pr2
1.0
5.397 -8.291 0.000
5.397 8.291 0.000
-5.396 0.000 7.588
Tb Pm Pr
10 6 4
Cartesian
1.350 7.842 5.691
-1.328 1.964 5.724
1.350 4.535 5.691
1.369 -1.964 1.931
4.048 0.453 1.897
1.350 -0.453 5.691
4.028 1.964 5.657
4.048 -4.535 1.897
6.726 -1.964 1.863
4.048 -7.842 1.897
1.330 2.047 3.455
4.048 3.756 1.897
-1.367 -2.047 7.248
6.765 2.047 0.339
1.350 -3.756 5.691
4.067 -2.047 4.133
1.331 2.043 0.335
-1.366 -2.043 4.129
6.764 2.043 3.459
4.066 -2.043 7.253
```

The 6 most intense peaks (2θ = 10–90°), most intense first:
29.61°, rel. 100.0
30.76°, rel. 96.5
33.20°, rel. 45.3
63.62°, rel. 23.9
60.30°, rel. 23.3
48.81°, rel. 20.7

Record 3
This entry pairs a crystal structure of Er3MgGa with its calculated XRD peak list. Radiation: Cu Kα X-rays. Structure: a structure optimized by DFT (GGA-PBE).

Atomic structure:
```
Er3MgGa
1.0
9.041 0.000 0.000
0.000 6.648 0.000
-2.254 0.000 8.731
Er Mg Ga
12 4 4
Cartesian
-0.338 1.646 3.405
-1.465 1.678 7.770
2.201 3.357 1.743
1.075 3.359 6.083
2.202 6.613 1.717
1.074 6.615 6.109
5.714 0.033 2.622
4.586 0.035 7.014
5.713 3.289 2.648
4.587 3.291 6.988
8.253 4.970 0.961
7.126 5.002 5.326
3.277 1.653 4.336
2.150 1.671 8.701
4.638 4.977 0.030
3.511 4.995 4.396
-0.698 4.971 7.968
0.428 5.001 3.602
6.359 1.647 5.129
7.486 1.677 0.763
```

The 6 most intense peaks (2θ = 10–90°), most intense first:
33.88°, rel. 100.0
32.37°, rel. 79.2
20.32°, rel. 36.6
39.99°, rel. 27.2
36.96°, rel. 25.5
28.73°, rel. 24.9

Record 4
This entry pairs a crystal structure of Ta6CrC3S6 with its calculated XRD peak list. Radiation: Cu Kα X-rays. Structure: a structure optimized by DFT (GGA-PBE).

Atomic structure:
```
Ta6CrC3S6
1.0
2.871 -4.976 0.000
2.871 4.976 0.000
-1.910 0.000 8.608
Ta Cr C S
6 1 3 6
Cartesian
0.957 3.321 5.458
2.875 3.321 3.150
0.963 0.000 5.425
2.869 0.000 3.182
0.957 -3.321 5.458
2.875 -3.321 3.150
2.871 0.000 0.000
-0.955 0.000 4.304
1.916 1.685 4.304
1.916 -1.685 4.304
0.000 1.662 7.107
0.954 0.000 1.484
0.000 -1.662 7.107
3.831 1.662 1.501
2.878 0.000 7.124
3.831 -1.662 1.501
```

The 6 most intense peaks (2θ = 10–90°), most intense first:
10.28°, rel. 100.0
42.12°, rel. 41.5
35.78°, rel. 39.5
31.34°, rel. 36.9
34.17°, rel. 34.5
39.78°, rel. 25.2

Record 5
This entry pairs a crystal structure of AlIn8 with its calculated XRD peak list. Radiation: Cu Kα X-rays. Structure: a structure optimized by DFT (GGA-PBE).

Atomic structure:
```
AlIn8
1.0
-5.130 5.130 2.236
5.130 -5.130 2.236
5.130 5.130 -2.236
Al In
1 8
Cartesian
0.000 0.000 0.000
3.381 0.000 0.000
6.879 0.000 0.000
0.000 3.381 0.000
3.486 3.486 0.000
1.644 -1.644 2.236
-1.644 1.644 2.236
1.644 1.644 2.236
0.000 6.879 0.000
```

The 6 most intense peaks (2θ = 10–90°), most intense first:
32.97°, rel. 100.0
37.18°, rel. 35.6
64.38°, rel. 26.5
56.01°, rel. 20.9
40.33°, rel. 14.4
53.59°, rel. 11.8

Record 6
This entry pairs a crystal structure of Ac2BeSnPt6 with its calculated XRD peak list. Radiation: Cu Kα X-rays. Structure: a structure optimized by DFT (GGA-PBE).

Atomic structure:
```
Ac2BeSnPt6
1.0
0.000 4.765 4.765
4.765 0.000 4.765
4.765 4.765 0.000
Ac Be Sn Pt
2 1 1 6
Cartesian
2.383 2.383 2.383
7.148 7.148 7.148
0.000 0.000 0.000
4.765 4.765 4.765
4.765 4.765 2.161
4.765 2.161 4.765
7.369 4.765 4.765
2.161 4.765 4.765
4.765 7.369 4.765
4.765 4.765 7.369
```

The 6 most intense peaks (2θ = 10–90°), most intense first:
32.55°, rel. 100.0
37.76°, rel. 69.3
54.47°, rel. 45.4
64.90°, rel. 35.5
68.17°, rel. 14.4
89.69°, rel. 12.9